Record 1
Simulated X-ray powder pattern of KTc2Ge for CuKα, from a structure optimized by DFT (PBE).
Lines closer than 0.1° are merged.

a = 9.641 Å, b = 9.641 Å, c = 9.641 Å
α = 151.34°, β = 151.34°, γ = 40.98°
Atoms (fractional coordinates):
K1 0.375 0.625 0.750
K2 0.625 0.375 0.250
Tc1 0.000 0.000 0.000
Tc2 0.000 0.000 0.500
Tc3 0.000 0.500 0.000
Tc4 0.500 0.000 0.500
Ge1 0.125 0.875 0.250
Ge2 0.875 0.125 0.750

Top 8 peaks for 10 to 90 degrees two-theta, by angle:
19.24 deg, d = 4.614 Å, I = 1000; 23.79 deg, d = 3.740 Å, I = 233; 28.23 deg, d = 3.161 Å, I = 342; 39.04 deg, d = 2.307 Å, I = 420; 39.93 deg, d = 2.258 Å, I = 244; 45.07 deg, d = 2.012 Å, I = 219; 48.69 deg, d = 1.870 Å, I = 220; 58.38 deg, d = 1.581 Å, I = 307

Record 2
Simulated X-ray powder pattern of La2Dy8Th3 for CuKα, from a structure optimized by DFT (PBE).
Lines closer than 0.1° are merged.

a = 7.423 Å, b = 7.423 Å, c = 8.650 Å
α = 105.79°, β = 105.79°, γ = 93.60°
Atoms (fractional coordinates):
La1 0.225 0.225 0.026
La2 0.775 0.775 0.974
Dy1 0.078 0.600 0.321
Dy2 0.102 0.102 0.360
Dy3 0.400 0.922 0.679
Dy4 0.405 0.405 0.785
Dy5 0.595 0.595 0.215
Dy6 0.600 0.078 0.321
Dy7 0.898 0.898 0.640
Dy8 0.922 0.400 0.679
Th1 0.231 0.769 0.000
Th2 0.500 0.500 0.500
Th3 0.769 0.231 0.000

Top 8 peaks for 10 to 90 degrees two-theta, by angle:
28.32 deg, d = 3.152 Å, I = 495; 29.78 deg, d = 3.000 Å, I = 155; 30.65 deg, d = 2.917 Å, I = 1000; 32.36 deg, d = 2.767 Å, I = 256; 33.11 deg, d = 2.706 Å, I = 420; 35.56 deg, d = 2.525 Å, I = 172; 38.11 deg, d = 2.361 Å, I = 161; 57.61 deg, d = 1.600 Å, I = 168

Record 3
Simulated X-ray powder pattern of YSc3Au4 for CuKα, from a structure optimized by DFT (PBE).
Lines closer than 0.1° are merged.

a = 8.617 Å, b = 8.617 Å, c = 8.617 Å
α = 32.70°, β = 32.70°, γ = 32.70°
Atoms (fractional coordinates):
Y1 0.000 0.000 0.000
Sc1 0.248 0.248 0.248
Sc2 0.500 0.500 0.500
Sc3 0.752 0.752 0.752
Au1 0.128 0.128 0.128
Au2 0.384 0.384 0.384
Au3 0.616 0.616 0.616
Au4 0.872 0.872 0.872

Top 8 peaks for 10 to 90 degrees two-theta, by angle:
25.73 deg, d = 3.462 Å, I = 743; 36.35 deg, d = 2.471 Å, I = 967; 37.06 deg, d = 2.426 Å, I = 1000; 45.66 deg, d = 1.987 Å, I = 173; 52.89 deg, d = 1.731 Å, I = 328; 60.21 deg, d = 1.537 Å, I = 158; 66.33 deg, d = 1.409 Å, I = 331; 66.79 deg, d = 1.401 Å, I = 188

Record 4
Simulated X-ray powder pattern of Ti2V3Se8 for CuKα, from a structure optimized by DFT (PBE).
Lines closer than 0.1° are merged.

a = 7.386 Å, b = 7.386 Å, c = 6.327 Å
α = 105.95°, β = 105.95°, γ = 58.80°
Atoms (fractional coordinates):
Ti1 0.239 0.239 0.314
Ti2 0.761 0.761 0.686
V1 0.000 0.000 0.500
V2 0.279 0.721 0.000
V3 0.721 0.279 0.000
Se1 0.108 0.108 0.914
Se2 0.129 0.629 0.590
Se3 0.371 0.871 0.410
Se4 0.383 0.383 0.109
Se5 0.617 0.617 0.891
Se6 0.629 0.129 0.590
Se7 0.871 0.371 0.410
Se8 0.892 0.892 0.086

Top 8 peaks for 10 to 90 degrees two-theta, by angle:
28.69 deg, d = 3.112 Å, I = 245; 28.76 deg, d = 3.104 Å, I = 408; 30.10 deg, d = 2.969 Å, I = 470; 37.31 deg, d = 2.410 Å, I = 588; 37.81 deg, d = 2.379 Å, I = 1000; 44.91 deg, d = 2.018 Å, I = 350; 50.03 deg, d = 1.823 Å, I = 517; 50.33 deg, d = 1.813 Å, I = 253

Record 5
Simulated X-ray powder pattern of Ca2H2S2O7 for CuKα, from a structure optimized by DFT (PBE).
Lines closer than 0.1° are merged.

a = 10.815 Å, b = 6.452 Å, c = 10.017 Å
α = 90.00°, β = 90.00°, γ = 90.00°
Atoms (fractional coordinates):
Ca1 0.145 0.022 0.128
Ca2 0.145 0.978 0.628
Ca3 0.355 0.478 0.628
Ca4 0.355 0.522 0.128
Ca5 0.645 0.478 0.872
Ca6 0.645 0.522 0.372
Ca7 0.855 0.022 0.372
Ca8 0.855 0.978 0.872
H1 0.048 0.359 0.308
H2 0.048 0.641 0.808
H3 0.452 0.141 0.808
H4 0.452 0.859 0.308
H5 0.548 0.141 0.692
H6 0.548 0.859 0.192
H7 0.952 0.359 0.192
H8 0.952 0.641 0.692
S1 0.131 0.334 0.881
S2 0.131 0.666 0.381
S3 0.369 0.166 0.381
S4 0.369 0.834 0.881
S5 0.631 0.166 0.119
S6 0.631 0.834 0.619
S7 0.869 0.334 0.619
S8 0.869 0.666 0.119
O1 0.000 0.263 0.250
O2 0.000 0.737 0.750
O3 0.049 0.141 0.904
O4 0.049 0.859 0.404
O5 0.211 0.278 0.759
O6 0.211 0.722 0.259
O7 0.217 0.326 0.003
O8 0.217 0.674 0.503
O9 0.283 0.174 0.503
O10 0.283 0.826 0.003
O11 0.289 0.222 0.259
O12 0.289 0.778 0.759
O13 0.451 0.359 0.404
O14 0.451 0.641 0.904
O15 0.500 0.237 0.750
O16 0.500 0.763 0.250
O17 0.549 0.359 0.096
O18 0.549 0.641 0.596
O19 0.711 0.222 0.241
O20 0.711 0.778 0.741
O21 0.717 0.174 0.997
O22 0.717 0.826 0.497
O23 0.783 0.326 0.497
O24 0.783 0.674 0.997
O25 0.789 0.278 0.741
O26 0.789 0.722 0.241
O27 0.951 0.141 0.596
O28 0.951 0.859 0.096

Top 8 peaks for 10 to 90 degrees two-theta, by angle:
15.99 deg, d = 5.541 Å, I = 309; 23.23 deg, d = 3.830 Å, I = 894; 27.94 deg, d = 3.193 Å, I = 1000; 29.76 deg, d = 3.002 Å, I = 235; 31.28 deg, d = 2.860 Å, I = 245; 34.08 deg, d = 2.631 Å, I = 461; 49.34 deg, d = 1.847 Å, I = 220; 49.62 deg, d = 1.837 Å, I = 275

Record 6
Simulated X-ray powder pattern of CaB3H3O7 for CuKα, from a structure optimized by DFT (PBE).
Lines closer than 0.1° are merged.

a = 7.318 Å, b = 8.177 Å, c = 8.469 Å
α = 90.00°, β = 97.67°, γ = 90.00°
Atoms (fractional coordinates):
Ca1 0.074 0.208 0.386
Ca2 0.074 0.292 0.886
Ca3 0.926 0.708 0.114
Ca4 0.926 0.792 0.614
B1 0.220 0.647 0.886
B2 0.220 0.853 0.386
B3 0.312 0.039 0.167
B4 0.312 0.461 0.667
B5 0.485 0.191 0.717
B6 0.485 0.309 0.217
B7 0.515 0.691 0.783
B8 0.515 0.809 0.283
B9 0.688 0.539 0.333
B10 0.688 0.961 0.833
B11 0.780 0.147 0.614
B12 0.780 0.353 0.114
H1 0.137 0.616 0.421
H2 0.137 0.884 0.921
H3 0.311 0.546 0.112
H4 0.311 0.954 0.612
H5 0.354 0.047 0.933
H6 0.354 0.453 0.433
H7 0.646 0.547 0.567
H8 0.646 0.953 0.067
H9 0.689 0.046 0.388
H10 0.689 0.454 0.888
H11 0.863 0.116 0.079
H12 0.863 0.384 0.579
O1 0.078 0.722 0.382
O2 0.078 0.778 0.882
O3 0.170 0.544 0.745
O4 0.170 0.956 0.245
O5 0.200 0.544 0.034
O6 0.200 0.956 0.534
O7 0.246 0.054 0.994
O8 0.246 0.446 0.494
O9 0.340 0.207 0.239
O10 0.340 0.293 0.739
O11 0.402 0.721 0.896
O12 0.402 0.779 0.396
O13 0.491 0.551 0.691
O14 0.491 0.949 0.191
O15 0.509 0.051 0.809
O16 0.509 0.449 0.309
O17 0.598 0.221 0.604
O18 0.598 0.279 0.104
O19 0.660 0.707 0.261
O20 0.660 0.793 0.761
O21 0.754 0.554 0.506
O22 0.754 0.946 0.006
O23 0.800 0.044 0.466
O24 0.800 0.456 0.966
O25 0.830 0.044 0.755
O26 0.830 0.456 0.255
O27 0.922 0.222 0.118
O28 0.922 0.278 0.618

Top 8 peaks for 10 to 90 degrees two-theta, by angle:
20.36 deg, d = 4.363 Å, I = 1000; 25.91 deg, d = 3.439 Å, I = 533; 27.84 deg, d = 3.204 Å, I = 483; 28.15 deg, d = 3.170 Å, I = 488; 30.35 deg, d = 2.945 Å, I = 416; 33.02 deg, d = 2.713 Å, I = 514; 34.07 deg, d = 2.632 Å, I = 366; 41.41 deg, d = 2.181 Å, I = 342